Structure and simulated powder diffractogram of PmHoNi (a crystal structure in Alexandria, relaxed with GGA-PBE; CuKα).
No peak broadening, texture or thermal motion is included.

Most intense lines, 10° ≤ 2θ ≤ 80°, by intensity:
| Position (°2θ) | I/Imax |
| --- | --- |
| 33.7 | 100.0 |
| 37.0 | 58.1 |
| 26.9 | 39.7 |
| 64.5 | 30.0 |
| 44.7 | 26.8 |
| 47.3 | 24.7 |
| 28.4 | 24.3 |
| 53.3 | 20.2 |
| 71.6 | 14.5 |
| 72.0 | 12.6 |
| 61.5 | 11.4 |
| 58.0 | 10.7 |

Cell and atoms:
Unit cell a=6.7310 b=6.7310 c=6.7310 alpha=150.39 beta=150.39 gamma=42.37
Atoms (fractional coordinates):
Pm (0.0000, 0.0000, 0.0000)
Ho (0.7375, 0.7375, 0.0000)
Ni (0.3579, 0.3579, 0.0000)

***

Structure and simulated powder diffractogram of Ho7Ni2Pt2 (a crystal structure in Alexandria, relaxed with GGA-PBE; CuKα).
No peak broadening, texture or thermal motion is included.

Most intense lines, 10° ≤ 2θ ≤ 80°, by intensity:
| Position (°2θ) | I/Imax |
| --- | --- |
| 39.5 | 100.0 |
| 34.0 | 65.8 |
| 30.1 | 50.2 |
| 29.0 | 42.8 |
| 38.7 | 36.8 |
| 31.4 | 35.9 |
| 26.9 | 35.0 |
| 64.5 | 20.4 |
| 65.4 | 19.4 |
| 54.1 | 18.4 |
| 47.9 | 16.9 |
| 38.9 | 16.7 |

Cell and atoms:
Unit cell a=6.5006 b=6.5006 c=6.7822 alpha=90.00 beta=90.00 gamma=108.54
Atoms (fractional coordinates):
Ho (0.0000, 0.0000, 0.0000)
Ho (0.0000, 0.5000, 0.2597)
Ho (0.0000, 0.5000, 0.7403)
Ho (0.5000, 0.0000, 0.2597)
Ho (0.5000, 0.0000, 0.7403)
Ho (0.5000, 0.5000, 0.2545)
Ho (0.5000, 0.5000, 0.7455)
Ni (0.2887, 0.7113, 0.0000)
Ni (0.7113, 0.2887, 0.0000)
Pt (0.1914, 0.1914, 0.5000)
Pt (0.8086, 0.8086, 0.5000)

***

Structure and simulated powder diffractogram of Ho4NiPt (a crystal structure in Alexandria, relaxed with GGA-PBE; CuKα).
No peak broadening, texture or thermal motion is included.

Most intense lines, 10° ≤ 2θ ≤ 80°, by intensity:
| Position (°2θ) | I/Imax |
| --- | --- |
| 37.6 | 100.0 |
| 37.3 | 77.1 |
| 35.3 | 62.3 |
| 40.2 | 38.9 |
| 21.8 | 38.2 |
| 23.7 | 36.0 |
| 31.7 | 29.2 |
| 26.7 | 28.8 |
| 32.9 | 23.2 |
| 54.9 | 20.8 |
| 26.0 | 20.5 |
| 31.5 | 19.5 |

Cell and atoms:
Unit cell a=8.1920 b=8.1920 c=6.7386 alpha=111.09 beta=111.09 gamma=113.49
Atoms (fractional coordinates):
Ho (0.0510, 0.5929, 0.8224)
Ho (0.2277, 0.2678, 0.7559)
Ho (0.2678, 0.2277, 0.2559)
Ho (0.4071, 0.9490, 0.6776)
Ho (0.5929, 0.0510, 0.3224)
Ho (0.7322, 0.7723, 0.7441)
Ho (0.7723, 0.7322, 0.2441)
Ho (0.9490, 0.4071, 0.1776)
Ni (0.1015, 0.8985, 0.7500)
Ni (0.8985, 0.1015, 0.2500)
Pt (0.3719, 0.6281, 0.2500)
Pt (0.6281, 0.3719, 0.7500)

***

Structure and simulated powder diffractogram of Ho2Ni15Pt2 (a crystal structure in Alexandria, relaxed with GGA-PBE; CuKα).
No peak broadening, texture or thermal motion is included.

Most intense lines, 10° ≤ 2θ ≤ 80°, by intensity:
| Position (°2θ) | I/Imax |
| --- | --- |
| 43.1 | 100.0 |
| 37.1 | 86.2 |
| 43.5 | 67.6 |
| 38.5 | 63.4 |
| 44.4 | 54.0 |
| 21.2 | 50.8 |
| 31.8 | 43.2 |
| 48.8 | 37.7 |
| 44.8 | 31.3 |
| 14.2 | 28.6 |
| 79.0 | 27.2 |
| 44.6 | 24.2 |

Cell and atoms:
Unit cell a=6.3257 b=6.3257 c=6.3257 alpha=83.16 beta=83.16 gamma=83.16
Atoms (fractional coordinates):
Ho (0.1563, 0.1563, 0.1563)
Ho (0.8437, 0.8437, 0.8437)
Ni (0.0000, 0.5000, 0.5000)
Ni (0.1509, 0.1509, 0.6598)
Ni (0.1509, 0.6598, 0.1509)
Ni (0.2026, 0.5000, 0.7974)
Ni (0.2026, 0.7974, 0.5000)
Ni (0.3402, 0.8491, 0.8491)
Ni (0.5000, 0.0000, 0.5000)
Ni (0.5000, 0.2026, 0.7974)
Ni (0.5000, 0.5000, 0.0000)
Ni (0.5000, 0.7974, 0.2026)
Ni (0.6598, 0.1509, 0.1509)
Ni (0.7974, 0.2026, 0.5000)
Ni (0.7974, 0.5000, 0.2026)
Ni (0.8491, 0.3402, 0.8491)
Ni (0.8491, 0.8491, 0.3402)
Pt (0.3910, 0.3910, 0.3910)
Pt (0.6090, 0.6090, 0.6090)

***

Structure and simulated powder diffractogram of Ho4NiPt3 (a crystal structure in Alexandria, relaxed with GGA-PBE; CuKα).
No peak broadening, texture or thermal motion is included.

Most intense lines, 10° ≤ 2θ ≤ 80°, by intensity:
| Position (°2θ) | I/Imax |
| --- | --- |
| 32.5 | 100.0 |
| 40.9 | 72.1 |
| 40.8 | 32.8 |
| 34.4 | 28.5 |
| 40.2 | 23.3 |
| 48.8 | 20.2 |
| 35.3 | 18.0 |
| 65.4 | 16.3 |
| 54.4 | 15.6 |
| 74.3 | 12.6 |
| 76.1 | 11.7 |
| 67.8 | 11.6 |

Cell and atoms:
Unit cell a=3.7337 b=4.4272 c=10.4148 alpha=90.00 beta=90.00 gamma=90.00
Atoms (fractional coordinates):
Ho (0.0000, 0.0000, 0.0000)
Ho (0.0000, 0.5000, 0.2719)
Ho (0.5000, 0.0000, 0.4925)
Ho (0.5000, 0.5000, 0.7751)
Ni (0.5000, 0.0000, 0.2141)
Pt (0.0000, 0.0000, 0.7244)
Pt (0.0000, 0.5000, 0.5450)
Pt (0.5000, 0.5000, 0.0576)

***

Structure and simulated powder diffractogram of Ho2Si4NiPt3 (a crystal structure in Alexandria, relaxed with GGA-PBE; CuKα).
No peak broadening, texture or thermal motion is included.

Most intense lines, 10° ≤ 2θ ≤ 80°, by intensity:
| Position (°2θ) | I/Imax |
| --- | --- |
| 35.7 | 100.0 |
| 34.8 | 95.2 |
| 43.9 | 74.8 |
| 28.2 | 57.3 |
| 32.0 | 51.6 |
| 57.2 | 46.1 |
| 51.1 | 38.6 |
| 30.7 | 34.7 |
| 69.6 | 30.8 |
| 63.9 | 24.6 |
| 75.4 | 22.7 |
| 53.0 | 20.9 |

Cell and atoms:
Unit cell a=4.1204 b=4.1204 c=9.9184 alpha=90.00 beta=90.00 gamma=90.00
Atoms (fractional coordinates):
Ho (0.0000, 0.5000, 0.2446)
Ho (0.5000, 0.0000, 0.7554)
Si (0.0000, 0.0000, 0.5000)
Si (0.0000, 0.5000, 0.8722)
Si (0.5000, 0.0000, 0.1278)
Si (0.5000, 0.5000, 0.5000)
Ni (0.5000, 0.5000, 0.0000)
Pt (0.0000, 0.0000, 0.0000)
Pt (0.0000, 0.5000, 0.6293)
Pt (0.5000, 0.0000, 0.3707)

***

Structure and simulated powder diffractogram of HoSi2NiPt2 (a crystal structure in Alexandria, relaxed with GGA-PBE; CuKα).
No peak broadening, texture or thermal motion is included.

Most intense lines, 10° ≤ 2θ ≤ 80°, by intensity:
| Position (°2θ) | I/Imax |
| --- | --- |
| 28.3 | 100.0 |
| 37.0 | 92.2 |
| 43.8 | 68.8 |
| 58.6 | 24.2 |
| 76.0 | 22.5 |
| 61.4 | 21.1 |
| 53.0 | 18.4 |
| 71.1 | 16.8 |
| 48.4 | 12.5 |
| 40.8 | 11.4 |
| 73.2 | 10.9 |
| 61.7 | 8.8 |

Cell and atoms:
Unit cell a=4.1316 b=4.1316 c=6.6311 alpha=90.00 beta=90.00 gamma=120.00
Atoms (fractional coordinates):
Ho (0.0000, 0.0000, 0.0000)
Si (0.3333, 0.6667, 0.3213)
Si (0.6667, 0.3333, 0.6787)
Ni (0.0000, 0.0000, 0.5000)
Pt (0.3333, 0.6667, 0.7079)
Pt (0.6667, 0.3333, 0.2921)

***

Structure and simulated powder diffractogram of Ho2SiNiPt6 (a crystal structure in Alexandria, relaxed with GGA-PBE; CuKα).
No peak broadening, texture or thermal motion is included.

Most intense lines, 10° ≤ 2θ ≤ 80°, by intensity:
| Position (°2θ) | I/Imax |
| --- | --- |
| 38.4 | 100.0 |
| 40.1 | 92.4 |
| 40.6 | 90.3 |
| 21.3 | 74.7 |
| 35.5 | 72.3 |
| 30.2 | 71.8 |
| 43.4 | 64.0 |
| 37.6 | 63.4 |
| 30.0 | 59.4 |
| 31.5 | 54.0 |
| 41.4 | 50.0 |
| 34.7 | 49.8 |

Cell and atoms:
Unit cell a=5.3909 b=6.1854 c=6.3442 alpha=80.08 beta=68.87 gamma=66.86
Atoms (fractional coordinates):
Ho (0.0067, 0.2404, 0.2749)
Ho (0.9933, 0.7596, 0.7251)
Si (0.5000, 0.5000, 0.0000)
Ni (0.5000, 0.0000, 0.5000)
Pt (0.0016, 0.7217, 0.2579)
Pt (0.3708, 0.9029, 0.9064)
Pt (0.4936, 0.3312, 0.6870)
Pt (0.5064, 0.6688, 0.3130)
Pt (0.6292, 0.0971, 0.0936)
Pt (0.9984, 0.2783, 0.7421)

***

Q: What is the formula in the fourth record?
A: Ho2Ni15Pt2